Simulated powder XRD pattern
Compound: TbYIr2
Radiation: Cu Ka
Structure: a cell relaxed with PBE

Principal peaks in the range 10 to 80 degrees two-theta, by intensity:
d = 2.434 Å, 2θ = 36.94°, intensity 100; d = 1.405 Å, 2θ = 66.55°, intensity 36; d = 1.721 Å, 2θ = 53.23°, intensity 18; d = 1.217 Å, 2θ = 78.62°, intensity 11; d = 3.442 Å, 2θ = 25.89°, intensity 5; d = 3.974 Å, 2θ = 22.37°, intensity 3; d = 1.539 Å, 2θ = 60.11°, intensity 2; d = 1.987 Å, 2θ = 45.66°, intensity 2; d = 2.075 Å, 2θ = 43.61°, intensity 1; d = 1.579 Å, 2θ = 58.44°, intensity 1

Structure:
Lattice parameters (Å, degrees): 4.8673 4.8673 4.8673 60.00 60.00 60.00
Element x y z (fractional)
Tb1 0.0000 0.0000 0.0000
Y1 0.5000 0.5000 0.5000
Ir1 0.2500 0.2500 0.2500
Ir2 0.7500 0.7500 0.7500